The following is a computed X-ray powder pattern of InAgI4O12. It was derived from a cell relaxed with GGA-PBE, using Cu Kα.
No peak broadening, texture or thermal motion is included.

Most intense lines, 2θ from 10° to 90°, sorted by position:
- 2θ = 18.59°, rel. 36, hkl 1 0 0
- 2θ = 24.51°, rel. 100, hkl 1 1 1
- 2θ = 25.27°, rel. 77, hkl -1 1 1
- 2θ = 26.07°, rel. 64, hkl 1 -1 1
- 2θ = 28.26°, rel. 50, hkl 1 0 -2
- 2θ = 30.39°, rel. 57, hkl 0 2 -1
- 2θ = 31.46°, rel. 37, hkl 0 0 3
- 2θ = 32.18°, rel. 36, hkl 1 1 -2
- 2θ = 33.18°, rel. 61, hkl 0 2 2
- 2θ = 35.59°, rel. 48, hkl 1 2 -1
- 2θ = 37.69°, rel. 35, hkl 2 0 0
- 2θ = 50.26°, rel. 43, hkl 2 2 2

Crystal structure
Cell lengths 4.7751, 6.5098, 8.5669 Å; angles 84.76, 89.04, 88.48 degrees
Space group P-1 (No. 2)
Asymmetric unit:
1 In 0.0000 0.0000 0.0000
2 Ag 0.0000 0.5000 0.0000
3 I 0.0160 0.2965 0.6413
4 I 0.4949 0.2114 0.2691
5 O 0.1862 0.2364 0.8370
6 O 0.2017 0.5441 0.5994
7 O 0.2281 0.0270 0.2147
8 O 0.2625 0.1369 0.5344
9 O 0.2937 0.4475 0.2156
10 O 0.3124 0.7816 0.9227